Starting from a crystal structure in the Materials Project, relaxed with PBE, the powder diffraction line list of LiTiO2 was computed for Cu Kα (weighted mean of Kα1 and Kα2).
Kinematic intensities with the Lorentz-polarization factor, no thermal factor.

Principal peaks in the range 5 to 70 degrees two-theta, in order of rising 2θ:
17.30°, 5.126 Å, intensity 100
35.01°, 2.563 Å, intensity 3
35.74°, 2.512 Å, intensity 7
36.84°, 2.440 Å, intensity 37
39.97°, 2.256 Å, intensity 31
44.78°, 2.024 Å, intensity 58
50.90°, 1.794 Å, intensity 17
53.64°, 1.709 Å, intensity 2
58.07°, 1.588 Å, intensity 24
64.22°, 1.450 Å, intensity 21
66.14°, 1.413 Å, intensity 6
67.07°, 1.396 Å, intensity 11

Structural model:
```
LiTiO2
1.0
2.9006 0.0000 0.0000
-1.4503 2.5120 0.0000
0.0000 0.0000 10.2518
Li Ti O
2 2 4
Cartesian
0.0000 1.6747 0.0000
1.4503 0.8373 5.1259
0.0000 1.6747 2.6588
1.4503 0.8373 7.7847
0.0000 0.0000 3.8699
0.0000 0.0000 8.9958
0.0000 1.6747 6.5896
1.4503 0.8373 1.4637
```